Calculated XRD peak list
Compound: MgV4O5F7
Radiation: Cu Kα
Structure: a crystal structure in the Materials Project, relaxed with GGA+U
Lines closer than 0.1° are merged.

Principal peaks in the range 2θ from 5° to 70°, by angle:
22.93 deg, I = 100, (0 1 1)
23.90 deg, I = 94, (1 -1 1)
24.04 deg, I = 92, (1 0 -2)
32.37 deg, I = 21, (1 1 -1)
33.37 deg, I = 24, (0 1 -3)
40.14 deg, I = 27, (2 0 -2)
46.84 deg, I = 28, (0 2 2)
48.93 deg, I = 22, (2 -2 2)

Crystal structure
Cell lengths 5.1394, 5.4854, 9.0547 Å; angles 92.20, 105.74, 117.17 degrees
Space group P1 (No. 1)
One atom of each set of equivalent atoms:
Mg  0.0000  0.0000  0.0000 (multiplicity 1)
V  0.1530  0.0103  0.3908 (multiplicity 1)
V  0.2355  0.5102  0.8889 (multiplicity 1)
V  0.6587  0.2470  0.1614 (multiplicity 1)
V  0.6825  0.7441  0.6288 (multiplicity 1)
O  0.0060  0.8993  0.5654 (multiplicity 1)
O  0.2983  0.0333  0.2092 (multiplicity 1)
O  0.4007  0.6029  0.7315 (multiplicity 1)
O  0.4479  0.3117  0.9899 (multiplicity 1)
O  0.9289  0.1659  0.3186 (multiplicity 1)
F  0.0324  0.3865  0.0663 (multiplicity 1)
F  0.4176  0.8250  0.4654 (multiplicity 1)
F  0.5241  0.3586  0.5119 (multiplicity 1)
F  0.5929  0.8793  0.0307 (multiplicity 1)
F  0.8177  0.6158  0.2791 (multiplicity 1)
F  0.8669  0.1179  0.7867 (multiplicity 1)
F  0.9758  0.7035  0.8471 (multiplicity 1)